Record 1
This entry pairs a crystal structure of Li2InGaMo2Os2 with its computed X-ray diffraction stick pattern. Radiation: Cu Kα, 1.54184 Å. Structure: DFT lattice parameters and positions (GGA-PBE).
Neutral-atom scattering factors, no anomalous dispersion.

Cell and atoms:
```
data_Li2InGaMo2Os2
_cell_length_a 4.3543
_cell_length_b 4.3543
_cell_length_c 6.2025
_cell_angle_alpha 90.00
_cell_angle_beta 90.00
_cell_angle_gamma 90.00
_symmetry_space_group_name_H-M 'P -4 m 2'
_symmetry_Int_Tables_number 115
_symmetry_space_group_name_Hall 'P -4 -2'
loop_
_atom_site_label
_atom_site_fract_x
_atom_site_fract_y
_atom_site_fract_z
Li1 0.0000 0.5000 0.2385
In1 0.0000 0.0000 0.5000
Ga1 0.5000 0.5000 0.0000
Mo1 0.0000 0.0000 0.0000
Mo2 0.5000 0.5000 0.5000
Os1 0.0000 0.5000 0.7600
```

Principal peaks in the range 2θ from 5° to 70°, sorted by position:
2θ/deg  d (Å)  I_rel
24.99  3.564  83
41.32  2.185  100
41.48  2.177  50
48.76  1.868  14
49.03  1.858  28
60.10  1.539  17

Record 2
This entry pairs a crystal structure of Li2Zn2InGaNi2 with its computed X-ray diffraction stick pattern. Radiation: Cu Kα, 1.54184 Å. Structure: DFT lattice parameters and positions (GGA-PBE).
Neutral-atom scattering factors, no anomalous dispersion.

Cell and atoms:
```
data_Li2Zn2InGaNi2
_cell_length_a 4.2381
_cell_length_b 4.2381
_cell_length_c 6.0616
_cell_angle_alpha 90.00
_cell_angle_beta 90.00
_cell_angle_gamma 90.00
_symmetry_space_group_name_H-M 'P -4 m 2'
_symmetry_Int_Tables_number 115
_symmetry_space_group_name_Hall 'P -4 -2'
loop_
_atom_site_label
_atom_site_fract_x
_atom_site_fract_y
_atom_site_fract_z
Li1 0.0000 0.5000 0.2335
Zn1 0.0000 0.0000 0.0000
Zn2 0.5000 0.5000 0.5000
In1 0.0000 0.0000 0.5000
Ga1 0.5000 0.5000 0.0000
Ni1 0.0000 0.5000 0.7693
```

Principal peaks in the range 2θ from 5° to 70°, sorted by position:
2θ/deg  d (Å)  I_rel
25.65  3.473  29
29.47  3.031  12
29.81  2.997  22
42.42  2.131  100
42.67  2.119  50
61.93  1.498  16

Record 3
This entry pairs a crystal structure of Li2Sc2InGaPd2 with its computed X-ray diffraction stick pattern. Radiation: Cu Kα, 1.54184 Å. Structure: DFT lattice parameters and positions (GGA-PBE).
Neutral-atom scattering factors, no anomalous dispersion.

Cell and atoms:
```
data_Li2Sc2InGaPd2
_cell_length_a 4.5576
_cell_length_b 4.5576
_cell_length_c 6.4857
_cell_angle_alpha 90.00
_cell_angle_beta 90.00
_cell_angle_gamma 90.00
_symmetry_space_group_name_H-M 'P -4 m 2'
_symmetry_Int_Tables_number 115
_symmetry_space_group_name_Hall 'P -4 -2'
loop_
_atom_site_label
_atom_site_fract_x
_atom_site_fract_y
_atom_site_fract_z
Li1 0.0000 0.5000 0.2371
Sc1 0.0000 0.0000 0.0000
Sc2 0.5000 0.5000 0.5000
In1 0.0000 0.0000 0.5000
Ga1 0.5000 0.5000 0.0000
Pd1 0.0000 0.5000 0.7628
```

Principal peaks in the range 2θ from 5° to 70°, sorted by position:
2θ/deg  d (Å)  I_rel
23.86  3.729  78
39.42  2.286  100
39.55  2.279  50
46.49  1.953  12
46.72  1.944  26
57.17  1.611  16

Record 4
This entry pairs a crystal structure of Li4ZnInGa2 with its computed X-ray diffraction stick pattern. Radiation: Cu Kα, 1.54184 Å. Structure: DFT lattice parameters and positions (GGA-PBE).
Neutral-atom scattering factors, no anomalous dispersion.

Cell and atoms:
```
data_Li4ZnInGa2
_cell_length_a 4.4483
_cell_length_b 4.4483
_cell_length_c 6.3171
_cell_angle_alpha 90.00
_cell_angle_beta 90.00
_cell_angle_gamma 90.00
_symmetry_space_group_name_H-M 'P -4 m 2'
_symmetry_Int_Tables_number 115
_symmetry_space_group_name_Hall 'P -4 -2'
loop_
_atom_site_label
_atom_site_fract_x
_atom_site_fract_y
_atom_site_fract_z
Li1 0.0000 0.0000 0.0000
Li2 0.0000 0.5000 0.7322
Li3 0.5000 0.5000 0.5000
Zn1 0.0000 0.0000 0.5000
In1 0.5000 0.5000 0.0000
Ga1 0.0000 0.5000 0.2710
```

Principal peaks in the range 2θ from 5° to 70°, sorted by position:
2θ/deg  d (Å)  I_rel
24.47  3.637  100
40.50  2.227  98
47.79  1.903  15
47.94  1.897  32
58.71  1.573  11
64.43  1.446  12